Li2VPO4F: simulated XRD peak list (Cu Kα, 1.54184 Å), based on a crystal structure in the Materials Project, relaxed with PBE+U.

Principal peaks in the range 10 to 90 degrees two-theta, sorted by position:
2θ = 17.4°, I = 30; 2θ = 25.5°, I = 26; 2θ = 25.8°, I = 41; 2θ = 26.5°, I = 100; 2θ = 27.1°, I = 65; 2θ = 33.0°, I = 25; 2θ = 35.0°, I = 32; 2θ = 54.0°, I = 27

Crystal structure
```
18
Lattice="3.6756 -4.0343 0.0000 3.6756 4.0343 0.0000 -3.3280 0.0000 6.6348" Properties=species:S:1:pos:R:3 pbc="T T T"
Li -0.4207 0.0000 2.6943
Li -0.4242 -1.0966 5.4199
Li 4.4474 -1.0966 1.2150
Li 4.4438 0.0000 3.9405
V 1.1768 1.2287 4.9778
V 2.8464 1.2287 1.6570
P 2.0116 -1.6302 3.3174
P 3.6756 -3.9684 0.0000
O 2.7184 3.2144 0.8462
O 0.7767 0.9562 1.0151
O 1.3048 3.2144 5.7886
O 1.0026 -0.7050 4.0618
O 1.1916 -2.5921 2.4152
O 3.0205 -0.7050 2.5731
O 3.2465 0.9562 5.6197
O 2.8316 -2.5921 4.2196
F 2.0116 2.3820 3.3174
F 3.6756 0.1712 0.0000
```